This entry pairs a crystal structure of Er2TmMg4 with its calculated powder XRD pattern. Radiation: Cu Kα (λ = 1.5418 Å). Structure: DFT lattice parameters and positions (GGA-PBE).
No peak broadening, texture or thermal motion is included.

The 12 most intense peaks (2θ = 15–90°), in order of rising 2θ:
2theta	I_rel
17.65	42
23.41	58
25.13	42
26.62	16
33.35	56
34.63	100
35.79	14
42.21	34
47.88	20
54.83	14
60.42	40
62.86	17

Atomic structure:
a = 8.0373 Å, b = 8.0373 Å, c = 8.0373 Å
α = 140.94°, β = 140.94°, γ = 56.43°
Positions (direct):
Er1 0.2493 0.2493 0.0000
Er2 0.7507 0.7507 0.0000
Tm1 0.0000 0.0000 0.0000
Mg1 0.1171 0.6171 0.5000
Mg2 0.3829 0.8829 0.5000
Mg3 0.6171 0.1171 0.5000
Mg4 0.8829 0.3829 0.5000